No. 1
NpCo4Ge: simulated X-ray diffraction stick pattern (λ = 1.5418 Å (Cu Kα)), based on a GGA-PBE-relaxed structure.
No peak broadening, texture or thermal motion is included.

Top 8 peaks for 10° ≤ 2θ ≤ 90°, by angle:
- 2θ = 22.41°, rel. 28
- 2θ = 25.94°, rel. 20
- 2θ = 37.01°, rel. 59
- 2θ = 43.70°, rel. 100
- 2θ = 45.75°, rel. 19
- 2θ = 66.69°, rel. 21
- 2θ = 71.33°, rel. 31
- 2θ = 78.80°, rel. 20

Atomic structure:
```
NpCo4Ge
1.0
0.0000 3.4352 3.4352
3.4352 0.0000 3.4352
3.4352 3.4352 0.0000
Np Co Ge
1 4 1
Direct
0.0000 0.0000 0.0000 Np
0.3766 0.3766 0.3766 Co
0.3766 0.3766 0.8702 Co
0.3766 0.8702 0.3766 Co
0.8702 0.3766 0.3766 Co
0.7500 0.7500 0.7500 Ge
```

---

No. 2
Np2CoGe3: simulated X-ray diffraction stick pattern (λ = 1.5418 Å (Cu Kα)), based on a GGA-PBE-relaxed structure.
No peak broadening, texture or thermal motion is included.

Top 8 peaks for 10° ≤ 2θ ≤ 90°, by angle:
- 2θ = 23.56°, rel. 83
- 2θ = 33.06°, rel. 96
- 2θ = 36.84°, rel. 44
- 2θ = 36.99°, rel. 37
- 2θ = 37.76°, rel. 100
- 2θ = 38.95°, rel. 67
- 2θ = 42.60°, rel. 53
- 2θ = 44.41°, rel. 37

Atomic structure:
```
Np2CoGe3
1.0
10.1488 0.0000 0.0000
0.0000 4.2450 0.0000
-3.6211 0.0000 5.0931
Np Co Ge
4 2 6
Direct
0.0000 0.0000 0.0000 Np
0.0901 0.0000 0.6790 Np
0.5000 0.5000 0.0000 Np
0.5901 0.5000 0.6790 Np
0.3800 0.0000 0.2245 Co
0.8800 0.5000 0.2245 Co
0.1579 0.5000 0.4312 Ge
0.2527 0.5000 0.1029 Ge
0.3470 0.0000 0.5713 Ge
0.6579 0.0000 0.4312 Ge
0.7527 0.0000 0.1029 Ge
0.8470 0.5000 0.5713 Ge
```